V3OF11: simulated XRD peak list (copper Kα), based on a cell relaxed with PBE+U.

Structural model:
```
data_V3OF11
_cell_length_a 5.2696
_cell_length_b 5.4528
_cell_length_c 14.7603
_cell_angle_alpha 100.33
_cell_angle_beta 90.03
_cell_angle_gamma 90.07
_space_group_name_H-M_alt 'P 1'
_space_group_IT_number 1
_space_group_name_Hall 'P 1'
loop_
_atom_site_label
_atom_site_type_symbol
_atom_site_fract_x
_atom_site_fract_y
_atom_site_fract_z
V1 V 0.0000 0.0000 0.0000
V2 V 0.0032 0.6579 0.3357
V3 V 0.0078 0.3216 0.6671
V4 V 0.4835 0.5294 0.0040
V5 V 0.4982 0.1563 0.3282
V6 V 0.5079 0.8218 0.6673
O1 O 0.3028 0.7806 0.0235
O2 O 0.4274 0.1099 0.2198
F1 F 0.0955 0.2794 0.5499
F2 F 0.0960 0.9397 0.8834
F3 F 0.0974 0.6125 0.2188
F4 F 0.2063 0.6320 0.6922
F5 F 0.2158 0.9621 0.3606
F6 F 0.2182 0.2988 0.0259
F7 F 0.3052 0.4580 0.3606
F8 F 0.3097 0.1317 0.6924
F9 F 0.4205 0.7793 0.5499
F10 F 0.4356 0.4281 0.8847
F11 F 0.5938 0.8617 0.7850
F12 F 0.6000 0.1955 0.4495
F13 F 0.6012 0.5212 0.1162
F14 F 0.7067 0.5118 0.6428
F15 F 0.7097 0.8517 0.3095
F16 F 0.7151 0.1840 0.9775
F17 F 0.7945 0.6855 0.9769
F18 F 0.8008 0.3513 0.3100
F19 F 0.8101 0.0108 0.6429
F20 F 0.9238 0.3640 0.7850
F21 F 0.9261 0.6991 0.4532
F22 F 0.9320 0.0267 0.1191
```

Top 6 peaks for 15° ≤ 2θ ≤ 90°, sorted by position:
two_theta, d [Å], Rel. int., h k l
18.33, 4.840, 56, 0 0 3
25.24, 3.529, 100, 1 1 1
37.15, 2.420, 9, 0 0 6
39.11, 2.303, 11, 2 -1 2
48.02, 1.895, 17, 2 2 -1
53.21, 1.721, 9, 1 -1 8